Diffraction record for HoSeF. The powder diffractogram is simulated, not measured: it uses a structure optimized by DFT (GGA-PBE) and CuKα.
No peak broadening, texture or thermal motion is included.

Cell and atoms:
Cell lengths 9.9795, 4.0993, 18.9591 Å; angles 90.00, 90.00, 90.00 degrees
Element x y z (fractional)
Ho 0.0776 0.2500 0.0809
Ho 0.0920 0.2500 0.4164
Ho 0.2445 0.7500 0.2394
Ho 0.2555 0.2500 0.7394
Ho 0.4080 0.7500 0.9164
Ho 0.4224 0.7500 0.5809
Ho 0.5776 0.2500 0.4191
Ho 0.5920 0.2500 0.0836
Ho 0.7445 0.7500 0.2606
Ho 0.7555 0.2500 0.7606
Ho 0.9080 0.7500 0.5836
Ho 0.9224 0.7500 0.9191
Se 0.0058 0.7500 0.3221
Se 0.1637 0.7500 0.8407
Se 0.1649 0.7500 0.5136
Se 0.3351 0.2500 0.0136
Se 0.3363 0.2500 0.3407
Se 0.4942 0.2500 0.8221
Se 0.5058 0.7500 0.1779
Se 0.6637 0.7500 0.6593
Se 0.6649 0.7500 0.9864
Se 0.8351 0.2500 0.4864
Se 0.8363 0.2500 0.1593
Se 0.9942 0.2500 0.6779
F 0.0253 0.7500 0.0268
F 0.1369 0.7500 0.1352
F 0.1988 0.2500 0.1944
F 0.3012 0.7500 0.6944
F 0.3631 0.2500 0.6352
F 0.4747 0.2500 0.5268
F 0.5253 0.7500 0.4732
F 0.6369 0.7500 0.3648
F 0.6988 0.2500 0.3056
F 0.8012 0.7500 0.8056
F 0.8631 0.2500 0.8648
F 0.9747 0.2500 0.9732

Peak list (12 most intense, 2θ from 15° to 90°, by angle)
| 2θ (°) | I (rel.) | h k l |
| --- | --- | --- |
| 20.1 | 24 | 2 0 2 |
| 22.7 | 28 | 2 0 3 |
| 25.9 | 100 | 0 1 3 |
| 27.4 | 15 | 1 1 3 |
| 30.4 | 17 | 3 0 3 |
| 37.0 | 22 | 2 1 5 |
| 40.3 | 34 | 2 1 6 |
| 42.4 | 14 | 4 1 0 |
| 42.7 | 20 | 4 1 1 |
| 44.0 | 21 | 2 1 7 |
| 44.2 | 24 | 0 2 0 |
| 76.6 | 13 | 6 1 9 |